[1]
Diffraction record for Pr3Bi2. The X-ray diffraction stick pattern is calculated, not measured: it uses a crystal structure in Alexandria, relaxed with GGA-PBE and Cu Kα, 1.54184 Å.

Structure:
a = 9.085 Å, b = 12.248 Å, c = 6.540 Å
α = 90.00°, β = 90.00°, γ = 90.00°
Space group Ibam (No. 72)
Inequivalent atoms, fractional coordinates:
Pr 0.000 0.000 0.250 (multiplicity 4)
Pr 0.142 0.351 0.000 (multiplicity 8)
Bi 0.215 0.387 0.500 (multiplicity 8)

The 10 most intense peaks (2θ = 10–90°), by angle:
Position (°2θ)  d_spacing  I/Imax
22.16  4.011  42
23.89  3.724  68
27.27  3.270  59
29.94  2.984  61
30.40  2.940  69
33.78  2.654  100
35.35  2.539  58
35.81  2.507  74
40.35  2.235  81
46.53  1.952  48

[2]
Diffraction record for Pr2PuBi4. The X-ray diffraction stick pattern is calculated, not measured: it uses a crystal structure in Alexandria, relaxed with GGA-PBE and Cu Kα, 1.54184 Å.

Structure:
a = 4.504 Å, b = 4.504 Å, c = 12.204 Å
α = 90.00°, β = 90.00°, γ = 90.00°
Space group P-4m2 (No. 115)
Inequivalent atoms, fractional coordinates:
Pr 0.000 0.500 0.213 (multiplicity 2)
Pu 0.000 0.000 0.500 (multiplicity 1)
Bi 0.000 0.000 0.000 (multiplicity 1)
Bi 0.000 0.500 0.686 (multiplicity 2)
Bi 0.500 0.500 0.000 (multiplicity 1)

The 10 most intense peaks (2θ = 10–90°), by angle:
Position (°2θ)  d_spacing  I/Imax
21.03  4.225  12
24.57  3.624  32
29.27  3.051  14
31.69  2.823  100
35.54  2.526  24
40.04  2.252  34
50.37  1.812  13
54.60  1.681  15
57.92  1.592  12
67.54  1.387  24

[3]
Diffraction record for Pr2BiRh. The X-ray diffraction stick pattern is calculated, not measured: it uses a crystal structure in Alexandria, relaxed with GGA-PBE and Cu Kα, 1.54184 Å.

Structure:
a = 6.464 Å, b = 4.361 Å, c = 8.761 Å
α = 90.00°, β = 111.20°, γ = 90.00°
Space group P2_1/m (No. 11)
Inequivalent atoms, fractional coordinates:
Pr 0.166 0.250 0.394 (multiplicity 2)
Pr 0.254 0.750 0.046 (multiplicity 2)
Bi 0.381 0.750 0.704 (multiplicity 2)
Rh 0.117 0.250 0.797 (multiplicity 2)

The 10 most intense peaks (2θ = 10–90°), by angle:
Position (°2θ)  d_spacing  I/Imax
23.12  3.847  25
29.61  3.017  94
29.81  2.997  69
29.98  2.981  100
36.24  2.479  79
36.37  2.470  51
37.17  2.419  66
41.02  2.200  40
41.41  2.180  50
51.86  1.763  30

[4]
Diffraction record for Pr3Bi2Rh. The X-ray diffraction stick pattern is calculated, not measured: it uses a crystal structure in Alexandria, relaxed with GGA-PBE and Cu Kα, 1.54184 Å.

Structure:
a = 4.429 Å, b = 6.431 Å, c = 13.572 Å
α = 90.00°, β = 90.00°, γ = 90.00°
Space group Immm (No. 71)
Inequivalent atoms, fractional coordinates:
Pr 0.000 0.000 0.000 (multiplicity 2)
Pr 0.000 0.000 0.355 (multiplicity 4)
Bi 0.000 0.500 0.324 (multiplicity 4)
Rh 0.000 0.500 0.000 (multiplicity 2)

The 10 most intense peaks (2θ = 10–90°), by angle:
Position (°2θ)  d_spacing  I/Imax
27.75  3.215  67
28.20  3.165  100
39.85  2.262  16
39.97  2.256  79
40.75  2.214  20
49.25  1.850  18
50.01  1.824  22
65.07  1.433  19
65.78  1.420  15
73.65  1.286  13